VH5Se2NO7: simulated powder diffraction line list (Cu Kα (weighted mean of Kα1 and Kα2)), based on a structure optimized by DFT (GGA+U).

Cell and atoms:
a b c (Å): 4.056 10.712 8.079
angles (deg): 90.00 97.53 90.00
Space group P2_1/m (No. 11)
One atom of each set of equivalent atoms:
V  0.058  0.250  0.043 x2
H  0.000  0.000  0.500 x2
H  0.202  0.750  0.374 x2
H  0.264  0.750  0.584 x2
H  0.474  0.170  0.528 x4
Se  0.205  0.010  0.808 x4
N  0.379  0.750  0.478 x2
O  0.032  0.125  0.227 x4
O  0.082  0.617  0.132 x4
O  0.202  0.053  0.600 x4
O  0.470  0.250  0.034 x2

Principal peaks in the range 2θ = 10–90°, in order of rising 2θ:
(hkl)	d (Å)	2theta	I (rel.)
0 0 1	8.009	11.05	100
0 2 0	5.356	16.55	41
1 0 0	4.018	22.12	48
1 0 1	3.418	26.07	60
0 2 2	3.208	27.81	81
1 2 -1	3.098	28.82	79
1 2 1	2.881	31.04	30
0 4 0	2.678	33.46	23
0 2 3	2.389	37.65	31
2 2 0	1.883	48.33	34